Starting from the PBE+U geometry in the Materials Project, the XRD peak list of Li11FeW7O28 was calculated for CuKα.

Crystal structure
```
data_Li11FeW7O28
_chemical_formula_sum 'Li22 Fe2 W14 O56'
_space_group_name_H-M_alt 'C 1 m 1'
_space_group_IT_number 8
_cell_length_a 12.1071
_cell_length_b 12.0666
_cell_length_c 8.3021
_cell_angle_alpha 90.00
_cell_angle_beta 90.63
_cell_angle_gamma 90.00
loop_
_space_group_symop_operation_xyz
'x,y,z'
'x,-y,z'
'x+1/2,y+1/2,z'
'x+1/2,-y+1/2,z'
loop_
_atom_site_label
_atom_site_fract_x
_atom_site_fract_y
_atom_site_fract_z
Li1 0.0000 0.0000 0.0000
Li2 0.0168 0.2799 0.4481
Li3 0.1439 0.1475 0.1946
Li4 0.2778 0.2815 0.4513
Li5 0.3695 0.3717 0.7366
Li6 0.4257 0.1283 0.7338
Fe1 0.2784 0.0000 0.9720
W1 0.0031 0.0000 0.4554
W2 0.1471 0.5000 0.5948
W3 0.1502 0.1451 0.7309
W4 0.2926 0.0000 0.4414
W5 0.3946 0.2459 0.0938
O1 0.0179 0.2515 0.2165
O2 0.0254 0.5000 0.7194
O3 0.0321 0.2357 0.7215
O4 0.0359 0.0000 0.2416
O5 0.0435 0.0000 0.7053
O6 0.1463 0.3761 0.4712
O7 0.1532 0.1070 0.4888
O8 0.1610 0.1089 0.9533
O9 0.2628 0.0000 0.7239
O10 0.2678 0.2360 0.7100
O11 0.2700 0.0000 0.2222
O12 0.2712 0.5000 0.7184
O13 0.2749 0.2517 0.2190
O14 0.3832 0.1166 0.4765
O15 0.3880 0.1162 0.9729
O16 0.4002 0.3678 0.9690
O17 0.4140 0.3807 0.4792
```

The 10 most intense peaks (10° ≤ 2θ ≤ 80°), by angle:
2θ/deg  I/Imax  hkl
10.35  65  1 1 0
10.66  20  0 0 1
18.04  48  2 0 -1
18.20  100  2 0 1
25.70  44  1 3 1
31.40  30  3 3 0
31.60  25  3 1 -2
31.94  23  1 3 2
33.15  25  4 2 0
43.66  20  5 3 0

***

Starting from the PBE+U geometry in the Materials Project, the XRD peak list of Li7Fe3W2O16 was calculated for CuKα.

Crystal structure
```
data_Li7Fe3W2O16
_chemical_formula_sum 'Li14 Fe6 W4 O32'
_space_group_name_H-M_alt 'C 1 m 1'
_space_group_IT_number 8
_cell_length_a 10.2946
_cell_length_b 5.8634
_cell_length_c 9.7144
_cell_angle_alpha 90.00
_cell_angle_beta 90.71
_cell_angle_gamma 90.00
loop_
_space_group_symop_operation_xyz
'x,y,z'
'x,-y,z'
'x+1/2,y+1/2,z'
'x+1/2,-y+1/2,z'
loop_
_atom_site_label
_atom_site_fract_x
_atom_site_fract_y
_atom_site_fract_z
Li1 0.0000 0.0000 0.0000
Li2 0.0029 0.0000 0.5112
Li3 0.1674 0.5000 0.9182
Li4 0.3276 0.0000 0.4229
Li5 0.3305 0.5000 0.2267
Li6 0.4205 0.2435 0.7254
Fe1 0.0872 0.2511 0.2297
Fe2 0.1723 0.0000 0.7327
W1 0.1727 0.5000 0.5062
W2 0.3503 0.0000 0.9947
O1 0.0086 0.0000 0.3178
O2 0.0154 0.5000 0.3568
O3 0.0169 0.0000 0.8122
O4 0.0920 0.2580 0.6033
O5 0.1536 0.5000 0.1287
O6 0.1663 0.0000 0.1134
O7 0.2304 0.2732 0.3618
O8 0.2530 0.2160 0.8718
O9 0.3168 0.0000 0.6308
O10 0.3321 0.5000 0.5899
O11 0.4164 0.2434 0.1052
O12 0.4856 0.0000 0.8735
```

The 10 most intense peaks (10° ≤ 2θ ≤ 80°), by angle:
2θ/deg  I/Imax  hkl
17.41  24  1 1 0
19.42  67  2 0 -1
19.62  100  1 1 -1
19.73  57  1 1 1
25.26  25  1 1 -2
25.39  33  2 0 2
30.18  24  3 1 0
32.86  43  2 0 3
35.31  31  3 1 -2
35.72  53  3 1 2

***

Starting from the PBE+U geometry in the Materials Project, the XRD peak list of Li9Fe3W7O28 was calculated for CuKα.

Crystal structure
```
data_Li9Fe3W7O28
_chemical_formula_sum 'Li27 Fe9 W21 O84'
_space_group_name_H-M_alt 'R 3 m'
_space_group_IT_number 160
_space_group_name_Hall 'R 3 -2"'
_cell_length_a 12.0759
_cell_length_b 12.0759
_cell_length_c 14.8409
_cell_angle_alpha 90.00
_cell_angle_beta 90.00
_cell_angle_gamma 120.00
loop_
_atom_site_label
_atom_site_fract_x
_atom_site_fract_y
_atom_site_fract_z
Li1 0.0664 0.3916 0.0000
Li2 0.1722 0.0861 0.7009
Fe1 0.0251 0.5125 0.8439
W1 0.0000 0.0000 0.3233
W2 0.0010 0.5005 0.4687
W3 0.0945 0.1891 0.5155
O1 0.0000 0.0000 0.5768
O2 0.0005 0.5003 0.5902
O3 0.0204 0.5102 0.0965
O4 0.0828 0.1655 0.2723
O5 0.0827 0.4139 0.7604
O6 0.0853 0.1706 0.7604
O7 0.1003 0.4302 0.2531
O8 0.1494 0.0747 0.4346
```

The 10 most intense peaks (10° ≤ 2θ ≤ 80°), by angle:
2θ/deg  I/Imax  hkl
10.35  69  1 0 1
17.96  100  0 0 3
20.78  18  2 0 2
23.26  22  1 1 3
25.53  63  3 0 0
29.57  29  2 2 0
31.39  82  3 0 3
33.14  33  3 1 2
46.25  21  0 4 5
47.57  21  2 2 6

***

Starting from the PBE+U geometry in the Materials Project, the XRD peak list of Li2FeWO6 was calculated for CuKα.

Crystal structure
```
data_Li2FeWO6
_chemical_formula_sum 'Li2 Fe1 W1 O6'
_space_group_name_H-M_alt 'P 1'
_space_group_IT_number 1
_cell_length_a 5.0890
_cell_length_b 5.1164
_cell_length_c 5.4229
_cell_angle_alpha 117.91
_cell_angle_beta 90.10
_cell_angle_gamma 119.35
loop_
_space_group_symop_operation_xyz
'x,y,z'
loop_
_atom_site_label
_atom_site_fract_x
_atom_site_fract_y
_atom_site_fract_z
Li1 0.0000 0.0000 0.0000
Li2 0.5005 0.0021 0.5067
Fe1 0.2159 0.4315 0.6428
W1 0.7148 0.4288 0.1421
O1 0.0795 0.5234 0.3547
O2 0.3361 0.2729 0.8547
O3 0.4473 0.2776 0.3567
O4 0.5829 0.9282 0.8620
O5 0.8229 0.9003 0.3484
O6 0.9395 0.5225 0.8592
```

The 10 most intense peaks (10° ≤ 2θ ≤ 80°), by angle:
2θ/deg  I/Imax  hkl
19.42  20  0 0 1
21.01  34  0 1 -1
21.17  17  1 -1 0
23.67  52  0 1 0
24.02  100  1 0 -1
32.88  20  1 0 1
33.11  39  0 1 -2
34.83  13  1 1 -1
42.77  14  2 0 0
54.00  20  1 1 -3